The following is a computed powder XRD pattern of Ca7HfN6. It was derived from a structure optimized by DFT (GGA-PBE), using CuKα.
Peak positions follow from Bragg's law for the DFT cell and can differ from measured ones.

The 8 most intense peaks (10° ≤ 2θ ≤ 90°), sorted by position:
| d/Å | two_theta | intensity |
| --- | --- | --- |
| 5.613 | 15.79 | 49 |
| 4.369 | 20.33 | 44 |
| 4.255 | 20.88 | 79 |
| 2.941 | 30.39 | 31 |
| 2.868 | 31.18 | 38 |
| 2.853 | 31.36 | 100 |
| 2.578 | 34.80 | 62 |
| 2.053 | 44.10 | 31 |

Crystal structure
Unit cell a=9.347 b=9.347 c=9.347 alpha=140.05 beta=101.99 gamma=91.47
Positions (direct):
Ca  0.042  0.220  0.262
Ca  0.106  0.494  0.843
Ca  0.151  0.994  0.388
Ca  0.250  0.250  0.000
Ca  0.349  0.737  0.843
Ca  0.394  0.237  0.388
Ca  0.458  0.720  0.178
Ca  0.542  0.280  0.822
Ca  0.606  0.763  0.612
Ca  0.651  0.263  0.157
Ca  0.750  0.750  0.000
Ca  0.849  0.006  0.612
Ca  0.894  0.506  0.157
Ca  0.958  0.780  0.738
Hf  0.250  0.750  0.500
Hf  0.750  0.250  0.500
N  0.064  0.869  0.590
N  0.157  0.881  0.038
N  0.221  0.631  0.195
N  0.279  0.474  0.410
N  0.343  0.381  0.724
N  0.436  0.026  0.805
N  0.564  0.974  0.195
N  0.657  0.619  0.276
N  0.721  0.526  0.590
N  0.779  0.369  0.805
N  0.843  0.119  0.962
N  0.936  0.131  0.410



The following is a computed powder XRD pattern of CaHf2N. It was derived from a structure optimized by DFT (GGA-PBE), using CuKα.
Peak positions follow from Bragg's law for the DFT cell and can differ from measured ones.

The 8 most intense peaks (10° ≤ 2θ ≤ 90°), sorted by position:
| d/Å | two_theta | intensity |
| --- | --- | --- |
| 8.621 | 10.26 | 100 |
| 2.874 | 31.12 | 21 |
| 2.833 | 31.58 | 46 |
| 2.608 | 34.39 | 39 |
| 2.496 | 35.98 | 25 |
| 2.257 | 39.95 | 16 |
| 2.138 | 42.27 | 41 |
| 1.645 | 55.87 | 18 |

Crystal structure
Unit cell a=8.828 b=8.828 c=8.828 alpha=21.48 beta=21.48 gamma=21.48
Positions (direct):
Ca  0.000  0.000  0.000
Hf  0.121  0.121  0.121
Hf  0.879  0.879  0.879
N  0.500  0.500  0.500



The following is a computed powder XRD pattern of Ca3Hf3NbN8. It was derived from a structure optimized by DFT (GGA-PBE), using CuKα.
Peak positions follow from Bragg's law for the DFT cell and can differ from measured ones.

The 8 most intense peaks (10° ≤ 2θ ≤ 90°), sorted by position:
| d/Å | two_theta | intensity |
| --- | --- | --- |
| 5.646 | 15.70 | 100 |
| 2.823 | 31.70 | 29 |
| 2.770 | 32.31 | 45 |
| 2.666 | 33.62 | 71 |
| 2.340 | 38.47 | 85 |
| 1.691 | 54.26 | 29 |
| 1.621 | 56.78 | 27 |
| 1.406 | 66.50 | 22 |

Crystal structure
Unit cell a=6.775 b=6.775 c=6.775 alpha=57.19 beta=57.19 gamma=57.19
Positions (direct):
Ca  0.000  0.500  0.500
Ca  0.500  0.000  0.500
Ca  0.500  0.500  0.000
Hf  0.000  0.000  0.500
Hf  0.000  0.500  0.000
Hf  0.500  0.000  0.000
Nb  0.500  0.500  0.500
N  0.238  0.238  0.238
N  0.246  0.728  0.728
N  0.272  0.272  0.754
N  0.272  0.754  0.272
N  0.728  0.246  0.728
N  0.728  0.728  0.246
N  0.754  0.272  0.272
N  0.762  0.762  0.762



The following is a computed powder XRD pattern of Ca3HfPa3N8. It was derived from a structure optimized by DFT (GGA-PBE), using CuKα.
Peak positions follow from Bragg's law for the DFT cell and can differ from measured ones.

The 8 most intense peaks (10° ≤ 2θ ≤ 90°), sorted by position:
| d/Å | two_theta | intensity |
| --- | --- | --- |
| 5.707 | 15.53 | 100 |
| 2.965 | 30.14 | 56 |
| 2.853 | 31.35 | 26 |
| 2.840 | 31.50 | 75 |
| 2.462 | 36.49 | 77 |
| 1.744 | 52.46 | 26 |
| 1.738 | 52.66 | 27 |
| 1.484 | 62.61 | 35 |

Crystal structure
Unit cell a=6.977 b=6.977 c=6.977 alpha=59.77 beta=59.77 gamma=59.77
Positions (direct):
Ca  0.000  0.500  0.500
Ca  0.500  0.000  0.500
Ca  0.500  0.500  0.000
Hf  0.500  0.500  0.500
Pa  0.000  0.000  0.500
Pa  0.000  0.500  0.000
Pa  0.500  0.000  0.000
N  0.242  0.242  0.242
N  0.242  0.726  0.726
N  0.274  0.274  0.758
N  0.274  0.758  0.274
N  0.726  0.242  0.726
N  0.726  0.726  0.242
N  0.758  0.274  0.274
N  0.758  0.758  0.758



The following is a computed powder XRD pattern of Ca3Hf3TaN8. It was derived from a structure optimized by DFT (GGA-PBE), using CuKα.
Peak positions follow from Bragg's law for the DFT cell and can differ from measured ones.

The 8 most intense peaks (10° ≤ 2θ ≤ 90°), sorted by position:
| d/Å | two_theta | intensity |
| --- | --- | --- |
| 5.648 | 15.69 | 100 |
| 2.824 | 31.68 | 28 |
| 2.768 | 32.34 | 46 |
| 2.664 | 33.64 | 68 |
| 2.339 | 38.48 | 77 |
| 1.691 | 54.26 | 26 |
| 1.620 | 56.83 | 24 |
| 1.405 | 66.54 | 21 |

Crystal structure
Unit cell a=6.775 b=6.775 c=6.775 alpha=57.14 beta=57.14 gamma=57.14
Positions (direct):
Ca  0.000  0.500  0.500
Ca  0.500  0.000  0.500
Ca  0.500  0.500  0.000
Hf  0.000  0.000  0.500
Hf  0.000  0.500  0.000
Hf  0.500  0.000  0.000
Ta  0.500  0.500  0.500
N  0.238  0.238  0.238
N  0.248  0.726  0.726
N  0.274  0.274  0.752
N  0.274  0.752  0.274
N  0.726  0.248  0.726
N  0.726  0.726  0.248
N  0.752  0.274  0.274
N  0.762  0.762  0.762



The following is a computed powder XRD pattern of NaCaHfNbO6. It was derived from a structure optimized by DFT (GGA-PBE), using CuKα.
Peak positions follow from Bragg's law for the DFT cell and can differ from measured ones.

The 8 most intense peaks (10° ≤ 2θ ≤ 90°), sorted by position:
| d/Å | two_theta | intensity |
| --- | --- | --- |
| 4.058 | 21.90 | 75 |
| 2.870 | 31.17 | 100 |
| 2.029 | 44.66 | 37 |
| 1.815 | 50.27 | 32 |
| 1.657 | 55.46 | 40 |
| 1.435 | 65.00 | 22 |
| 1.353 | 69.49 | 15 |
| 1.283 | 73.84 | 17 |

Crystal structure
Unit cell a=5.739 b=5.739 c=5.739 alpha=60.00 beta=60.00 gamma=60.00
Positions (direct):
Na  0.000  0.000  0.000
Ca  0.500  0.500  0.500
Hf  0.250  0.250  0.250
Nb  0.750  0.750  0.750
O  0.504  0.504  0.996
O  0.504  0.996  0.504
O  0.504  0.996  0.996
O  0.996  0.504  0.504
O  0.996  0.504  0.996
O  0.996  0.996  0.504



The following is a computed powder XRD pattern of Ca2HfNpSb4. It was derived from a structure optimized by DFT (GGA-PBE), using CuKα.
Peak positions follow from Bragg's law for the DFT cell and can differ from measured ones.

The 8 most intense peaks (10° ≤ 2θ ≤ 90°), sorted by position:
| d/Å | two_theta | intensity |
| --- | --- | --- |
| 7.331 | 12.07 | 37 |
| 3.700 | 24.05 | 15 |
| 3.100 | 28.80 | 100 |
| 2.409 | 37.33 | 12 |
| 2.218 | 40.68 | 38 |
| 2.167 | 41.68 | 37 |
| 1.776 | 51.46 | 20 |
| 1.374 | 68.24 | 11 |

Crystal structure
Unit cell a=7.500 b=4.337 c=7.740 alpha=90.00 beta=108.70 gamma=90.00
Positions (direct):
Ca  0.000  0.000  0.000
Ca  0.500  0.500  0.000
Hf  0.000  0.500  0.500
Np  0.500  0.000  0.500
Sb  0.232  0.000  0.726
Sb  0.245  0.500  0.268
Sb  0.755  0.500  0.732
Sb  0.768  0.000  0.274



The following is a computed powder XRD pattern of CaHf4Pb4O12. It was derived from a structure optimized by DFT (GGA-PBE), using CuKα.
Peak positions follow from Bragg's law for the DFT cell and can differ from measured ones.

The 8 most intense peaks (10° ≤ 2θ ≤ 90°), sorted by position:
| d/Å | two_theta | intensity |
| --- | --- | --- |
| 3.079 | 29.00 | 42 |
| 3.050 | 29.28 | 75 |
| 3.036 | 29.42 | 99 |
| 2.949 | 30.30 | 100 |
| 2.171 | 41.60 | 29 |
| 2.134 | 42.35 | 31 |
| 2.093 | 43.22 | 18 |
| 1.721 | 53.23 | 16 |

Crystal structure
Unit cell a=6.084 b=6.101 c=8.385 alpha=89.48 beta=87.12 gamma=88.99
Positions (direct):
Ca  0.000  0.000  0.000
Hf  0.376  0.977  0.575
Hf  0.464  0.990  0.079
Hf  0.883  0.483  0.582
Hf  0.918  0.491  0.077
Pb  0.339  0.490  0.314
Pb  0.379  0.467  0.810
Pb  0.842  0.977  0.694
Pb  0.879  0.956  0.349
O  0.140  0.229  0.554
O  0.161  0.725  0.572
O  0.197  0.260  0.107
O  0.211  0.728  0.092
O  0.373  0.012  0.837
O  0.461  0.971  0.332
O  0.606  0.696  0.625
O  0.624  0.265  0.594
O  0.696  0.240  0.073
O  0.706  0.755  0.056
O  0.913  0.524  0.334
O  0.956  0.475  0.829



The following is a computed powder XRD pattern of SrCaHf2O6. It was derived from a structure optimized by DFT (GGA-PBE), using CuKα.
Peak positions follow from Bragg's law for the DFT cell and can differ from measured ones.

The 8 most intense peaks (10° ≤ 2θ ≤ 90°), sorted by position:
| d/Å | two_theta | intensity |
| --- | --- | --- |
| 4.063 | 21.87 | 55 |
| 2.901 | 30.82 | 25 |
| 2.873 | 31.13 | 100 |
| 2.848 | 31.41 | 24 |
| 2.032 | 44.60 | 40 |
| 1.817 | 50.21 | 18 |
| 1.669 | 55.01 | 19 |
| 1.649 | 55.75 | 23 |

Crystal structure
Unit cell a=8.123 b=5.696 c=5.802 alpha=90.00 beta=90.00 gamma=90.00
Positions (direct):
Sr  0.000  0.240  0.000
Sr  0.000  0.760  0.500
Ca  0.500  0.257  0.078
Ca  0.500  0.743  0.578
Hf  0.255  0.249  0.535
Hf  0.255  0.751  0.035
Hf  0.745  0.249  0.535
Hf  0.745  0.751  0.035
O  0.000  0.323  0.552
O  0.000  0.677  0.052
O  0.212  0.041  0.245
O  0.212  0.959  0.745
O  0.302  0.456  0.828
O  0.302  0.544  0.328
O  0.500  0.153  0.500
O  0.500  0.847  0.000
O  0.698  0.456  0.828
O  0.698  0.544  0.328
O  0.788  0.041  0.245
O  0.788  0.959  0.745



The following is a computed powder XRD pattern of SrCaHf4O12. It was derived from a structure optimized by DFT (GGA-PBE), using CuKα.
Peak positions follow from Bragg's law for the DFT cell and can differ from measured ones.

The 8 most intense peaks (10° ≤ 2θ ≤ 90°), sorted by position:
| d/Å | two_theta | intensity |
| --- | --- | --- |
| 4.122 | 21.56 | 85 |
| 4.085 | 21.75 | 80 |
| 4.041 | 21.99 | 84 |
| 2.902 | 30.82 | 100 |
| 2.886 | 30.99 | 94 |
| 2.873 | 31.13 | 98 |
| 1.813 | 50.34 | 41 |
| 1.675 | 54.82 | 43 |

Crystal structure
Unit cell a=8.244 b=5.746 c=5.746 alpha=90.62 beta=90.00 gamma=90.00
Positions (direct):
Sr  0.000  0.000  0.000
Ca  0.500  0.428  0.428
Hf  0.256  0.473  0.947
Hf  0.256  0.947  0.473
Hf  0.744  0.473  0.947
Hf  0.744  0.947  0.473
O  0.000  0.485  0.944
O  0.000  0.944  0.485
O  0.230  0.170  0.753
O  0.230  0.753  0.170
O  0.243  0.239  0.239
O  0.303  0.652  0.652
O  0.500  0.020  0.453
O  0.500  0.453  0.020
O  0.697  0.652  0.652
O  0.757  0.239  0.239
O  0.770  0.170  0.753
O  0.770  0.753  0.170



The following is a computed powder XRD pattern of SrCa3Hf4O12. It was derived from a structure optimized by DFT (GGA-PBE), using CuKα.
Peak positions follow from Bragg's law for the DFT cell and can differ from measured ones.

The 8 most intense peaks (10° ≤ 2θ ≤ 90°), sorted by position:
| d/Å | two_theta | intensity |
| --- | --- | --- |
| 4.039 | 22.01 | 72 |
| 2.892 | 30.93 | 25 |
| 2.855 | 31.33 | 100 |
| 2.823 | 31.70 | 23 |
| 2.019 | 44.89 | 39 |
| 1.806 | 50.54 | 23 |
| 1.662 | 55.26 | 20 |
| 1.636 | 56.23 | 23 |

Crystal structure
Unit cell a=5.646 b=8.071 c=5.783 alpha=90.00 beta=90.09 gamma=90.00
Positions (direct):
Sr  0.000  0.000  0.000
Ca  0.020  0.500  0.914
Ca  0.500  0.500  0.422
Ca  0.523  0.000  0.510
Hf  0.009  0.252  0.462
Hf  0.009  0.748  0.462
Hf  0.510  0.253  0.964
Hf  0.510  0.747  0.964
O  0.107  0.000  0.446
O  0.209  0.301  0.165
O  0.209  0.699  0.165
O  0.302  0.305  0.671
O  0.302  0.695  0.671
O  0.433  0.000  0.926
O  0.611  0.500  0.005
O  0.709  0.199  0.262
O  0.709  0.801  0.262
O  0.801  0.210  0.753
O  0.801  0.790  0.753
O  0.911  0.500  0.493